Record 1
The following is a simulated X-ray diffraction stick pattern of Hg2Pt. It was derived from a cell relaxed with PBE, using Cu Kα (weighted mean of Kα1 and Kα2).
Kinematic intensities with the Lorentz-polarization factor, no thermal factor.

Peak list (10 most intense, 2θ from 10° to 90°, in order of falling intensity)
| Position (°2θ) | I_rel | index |
| --- | --- | --- |
| 40.22 | 100 | 1 1 1 |
| 37.13 | 62 | 2 0 0 |
| 69.02 | 44 | 3 1 1 |
| 18.32 | 37 | 1 0 0 |
| 53.52 | 22 | 2 2 0 |
| 26.02 | 19 | 1 1 0 |
| 75.10 | 17 | 2 0 2 |
| 35.48 | 15 | 1 0 1 |
| 86.89 | 13 | 2 2 2 |
| 62.63 | 10 | 0 0 2 |

Structural model:
Unit cell a=4.842 b=4.842 c=2.967 alpha=90.00 beta=90.00 gamma=90.00
Space group P4/mmm (No. 123)
Symmetry-distinct sites (fractional):
Hg 0.000 0.500 0.000 (multiplicity 2)
Pt 0.000 0.000 0.500 (multiplicity 1)


Record 2
The following is a simulated X-ray diffraction stick pattern of HgPt3. It was derived from a cell relaxed with PBE, using Cu Kα (weighted mean of Kα1 and Kα2).
Kinematic intensities with the Lorentz-polarization factor, no thermal factor.

Peak list (10 most intense, 2θ from 10° to 90°, in order of falling intensity)
| Position (°2θ) | I_rel | index |
| --- | --- | --- |
| 38.03 | 100 | 2 2 0 |
| 38.71 | 95 | 0 2 1 |
| 44.27 | 66 | 2 0 1 |
| 65.16 | 42 | 2 4 1 |
| 45.25 | 31 | 0 4 0 |
| 76.87 | 27 | 4 2 1 |
| 78.16 | 25 | 2 2 2 |
| 78.71 | 13 | 2 6 0 |
| 79.14 | 12 | 0 6 1 |
| 81.32 | 12 | 4 4 0 |

Structural model:
Unit cell a=5.864 b=8.016 c=2.857 alpha=90.00 beta=90.00 gamma=90.00
Space group Cmmm (No. 65)
Symmetry-distinct sites (fractional):
Hg 0.000 0.000 0.000 (multiplicity 2)
Pt 0.000 0.500 0.000 (multiplicity 2)
Pt 0.250 0.250 0.500 (multiplicity 4)


Record 3
The following is a simulated X-ray diffraction stick pattern of Hg5Pt. It was derived from a cell relaxed with PBE, using Cu Kα (weighted mean of Kα1 and Kα2).
Kinematic intensities with the Lorentz-polarization factor, no thermal factor.

Peak list (10 most intense, 2θ from 10° to 90°, in order of falling intensity)
| Position (°2θ) | I_rel | index |
| --- | --- | --- |
| 36.87 | 100 | 1 1 3 |
| 40.48 | 51 | 2 0 0 |
| 31.72 | 41 | 1 0 6 |
| 25.78 | 25 | 1 0 4 |
| 30.72 | 22 | 0 1 3 |
| 66.31 | 20 | 1 1 13 |
| 71.21 | 17 | 3 1 3 |
| 58.59 | 17 | 2 1 7 |
| 24.44 | 16 | 0 0 6 |
| 41.32 | 12 | 0 0 10 |

Structural model:
Unit cell a=4.461 b=3.175 c=21.849 alpha=90.00 beta=90.00 gamma=90.00
Space group Amm2 (No. 38)
Symmetry-distinct sites (fractional):
Hg 0.000 0.000 0.000 (multiplicity 2)
Hg 0.000 0.000 0.305 (multiplicity 2)
Hg 0.000 0.000 0.627 (multiplicity 2)
Hg 0.500 0.000 0.206 (multiplicity 2)
Hg 0.500 0.000 0.881 (multiplicity 2)
Pt 0.500 0.000 0.492 (multiplicity 2)


Record 4
The following is a simulated X-ray diffraction stick pattern of Pu4HgPt2. It was derived from a cell relaxed with PBE, using Cu Kα (weighted mean of Kα1 and Kα2).
Kinematic intensities with the Lorentz-polarization factor, no thermal factor.

Peak list (10 most intense, 2θ from 10° to 90°, in order of falling intensity)
| Position (°2θ) | I_rel | index |
| --- | --- | --- |
| 35.09 | 100 | 1 1 0 |
| 36.18 | 57 | 1 0 5 |
| 31.27 | 35 | 1 0 4 |
| 63.66 | 23 | 2 1 5 |
| 51.29 | 22 | 2 0 5 |
| 62.95 | 19 | 3 0 0 |
| 74.15 | 12 | 2 2 0 |
| 47.70 | 11 | 2 0 4 |
| 60.57 | 11 | 2 1 4 |
| 85.40 | 11 | 3 1 5 |

Structural model:
Unit cell a=5.1149 b=5.1149 c=14.9877 alpha=90.00 beta=90.00 gamma=120.00
Space group P6_3/mmc (No. 194)
Symmetry-distinct sites (fractional):
Pu 0.0000 0.0000 0.0000 (multiplicity 2)
Pu 0.3333 0.6667 0.1311 (multiplicity 4)
Pu 0.3333 0.6667 0.7500 (multiplicity 2)
Hg 0.0000 0.0000 0.2500 (multiplicity 2)
Pt 0.3333 0.6667 0.5622 (multiplicity 4)


Record 5
The following is a simulated X-ray diffraction stick pattern of Pu3HgPt8. It was derived from a cell relaxed with PBE, using Cu Kα (weighted mean of Kα1 and Kα2).
Kinematic intensities with the Lorentz-polarization factor, no thermal factor.

Peak list (10 most intense, 2θ from 10° to 90°, in order of falling intensity)
| Position (°2θ) | I_rel | index |
| --- | --- | --- |
| 38.86 | 100 | 2 0 2 |
| 40.66 | 35 | 0 0 12 |
| 62.82 | 33 | 3 0 6 |
| 32.96 | 32 | 1 1 0 |
| 69.14 | 28 | 2 2 0 |
| 83.41 | 14 | 2 2 12 |
| 58.86 | 12 | 3 0 0 |
| 82.25 | 12 | 0 4 2 |
| 78.74 | 5 | 3 1 8 |
| 47.31 | 3 | 2 0 8 |

Structural model:
Unit cell a=5.4366 b=5.4366 c=26.6081 alpha=90.00 beta=90.00 gamma=120.00
Space group R3m (No. 160, hexagonal axes)
Symmetry-distinct sites (fractional):
Pu 0.0000 0.0000 0.0000 (multiplicity 3)
Pu 0.0000 0.0000 0.1273 (multiplicity 3)
Pu 0.0000 0.0000 0.5070 (multiplicity 3)
Hg 0.0000 0.0000 0.6304 (multiplicity 3)
Pt 0.0000 0.0000 0.3159 (multiplicity 3)
Pt 0.0000 0.0000 0.8160 (multiplicity 3)
Pt 0.0010 0.5005 0.0669 (multiplicity 9)
Pt 0.1678 0.3355 0.8985 (multiplicity 9)


Record 6
The following is a simulated X-ray diffraction stick pattern of Pu5HgPt4. It was derived from a cell relaxed with PBE, using Cu Kα (weighted mean of Kα1 and Kα2).
Kinematic intensities with the Lorentz-polarization factor, no thermal factor.

Peak list (10 most intense, 2θ from 10° to 90°, in order of falling intensity)
| Position (°2θ) | I_rel | index |
| --- | --- | --- |
| 38.92 | 100 | 1 0 5 |
| 33.23 | 93 | 1 1 0 |
| 63.20 | 50 | 2 1 5 |
| 47.71 | 35 | 2 0 0 |
| 79.50 | 16 | 3 1 0 |
| 82.89 | 12 | 3 0 5 |
| 69.77 | 11 | 2 2 0 |
| 73.99 | 9 | 1 1 10 |
| 83.58 | 8 | 2 0 10 |
| 44.24 | 7 | 1 0 6 |

Structural model:
Unit cell a=3.813 b=3.813 c=14.560 alpha=90.00 beta=90.00 gamma=90.00
Space group P4/mmm (No. 123)
Symmetry-distinct sites (fractional):
Pu 0.000 0.000 0.000 (multiplicity 1)
Pu 0.000 0.000 0.203 (multiplicity 2)
Pu 0.000 0.000 0.373 (multiplicity 2)
Hg 0.500 0.500 0.500 (multiplicity 1)
Pt 0.500 0.500 0.097 (multiplicity 2)
Pt 0.500 0.500 0.285 (multiplicity 2)


Record 7
The following is a simulated X-ray diffraction stick pattern of PuScHgPt. It was derived from a cell relaxed with PBE, using Cu Kα (weighted mean of Kα1 and Kα2).
Kinematic intensities with the Lorentz-polarization factor, no thermal factor.

Peak list (10 most intense, 2θ from 10° to 90°, in order of falling intensity)
| Position (°2θ) | I_rel | index |
| --- | --- | --- |
| 35.48 | 100 | 1 0 2 |
| 37.91 | 47 | 1 1 0 |
| 66.88 | 44 | 2 1 2 |
| 29.02 | 30 | 1 0 1 |
| 54.69 | 17 | 2 0 0 |
| 52.51 | 15 | 1 1 3 |
| 62.08 | 14 | 1 1 4 |
| 34.96 | 11 | 0 0 3 |
| 11.49 | 11 | 0 0 1 |
| 75.09 | 8 | 2 0 4 |

Structural model:
Unit cell a=3.357 b=3.357 c=7.700 alpha=90.00 beta=90.00 gamma=90.00
Space group P4mm (No. 99)
Symmetry-distinct sites (fractional):
Pu 0.000 0.000 0.000 (multiplicity 1)
Sc 0.000 0.000 0.553 (multiplicity 1)
Hg 0.500 0.500 0.301 (multiplicity 1)
Pt 0.500 0.500 0.738 (multiplicity 1)


Record 8
The following is a simulated X-ray diffraction stick pattern of Rb4Hg7Pt. It was derived from a cell relaxed with PBE, using Cu Kα (weighted mean of Kα1 and Kα2).
Kinematic intensities with the Lorentz-polarization factor, no thermal factor.

Peak list (10 most intense, 2θ from 10° to 90°, in order of falling intensity)
| Position (°2θ) | I_rel | index |
| --- | --- | --- |
| 29.34 | 100 | 3 1 -3 |
| 29.57 | 92 | 3 1 1 |
| 10.77 | 86 | 2 0 -1 |
| 31.36 | 69 | 6 0 -2 |
| 32.64 | 68 | 0 2 0 |
| 45.89 | 49 | 6 2 -2 |
| 38.10 | 29 | 0 0 4 |
| 18.07 | 27 | 1 1 -1 |
| 51.02 | 26 | 0 2 4 |
| 49.84 | 24 | 6 0 -6 |

Structural model:
Unit cell a=17.115 b=5.487 c=11.091 alpha=90.00 beta=121.58 gamma=90.00
Space group C2/m (No. 12)
Symmetry-distinct sites (fractional):
Rb 0.063 0.000 0.241 (multiplicity 4)
Rb 0.238 0.000 0.751 (multiplicity 4)
Hg 0.000 0.000 0.500 (multiplicity 2)
Hg 0.105 0.500 0.804 (multiplicity 4)
Hg 0.164 0.500 0.497 (multiplicity 4)
Hg 0.173 0.000 0.014 (multiplicity 4)
Pt 0.000 0.500 0.500 (multiplicity 2)


Record 9
The following is a simulated X-ray diffraction stick pattern of Rb6HgPt. It was derived from a cell relaxed with PBE, using Cu Kα (weighted mean of Kα1 and Kα2).
Kinematic intensities with the Lorentz-polarization factor, no thermal factor.

Peak list (10 most intense, 2θ from 10° to 90°, in order of falling intensity)
| Position (°2θ) | I_rel | index |
| --- | --- | --- |
| 25.57 | 100 | 1 2 2 |
| 32.17 | 79 | 1 3 3 |
| 12.53 | 78 | 0 2 0 |
| 11.63 | 74 | 0 0 2 |
| 26.59 | 70 | 1 1 3 |
| 32.81 | 66 | 1 2 4 |
| 38.23 | 46 | 2 0 0 |
| 27.84 | 43 | 0 4 2 |
| 42.45 | 35 | 1 2 6 |
| 33.84 | 33 | 1 4 2 |

Structural model:
Unit cell a=4.707 b=14.134 c=15.224 alpha=90.00 beta=90.00 gamma=90.00
Space group Amm2 (No. 38)
Symmetry-distinct sites (fractional):
Rb 0.000 0.000 0.000 (multiplicity 2)
Rb 0.000 0.138 0.698 (multiplicity 4)
Rb 0.500 0.000 0.278 (multiplicity 2)
Rb 0.500 0.206 0.467 (multiplicity 4)
Hg 0.000 0.000 0.480 (multiplicity 2)
Pt 0.500 0.000 0.579 (multiplicity 2)


Record 10
The following is a simulated X-ray diffraction stick pattern of RbHgPt. It was derived from a cell relaxed with PBE, using Cu Kα (weighted mean of Kα1 and Kα2).
Kinematic intensities with the Lorentz-polarization factor, no thermal factor.

Peak list (10 most intense, 2θ from 10° to 90°, in order of falling intensity)
| Position (°2θ) | I_rel | index |
| --- | --- | --- |
| 11.33 | 100 | 0 2 0 |
| 36.65 | 57 | 2 0 2 |
| 18.97 | 39 | 1 1 1 |
| 34.02 | 37 | 1 5 1 |
| 34.50 | 34 | 2 4 0 |
| 34.69 | 32 | 0 4 2 |
| 38.48 | 23 | 2 2 2 |
| 43.55 | 17 | 0 6 2 |
| 43.39 | 15 | 2 6 0 |
| 28.04 | 14 | 2 2 0 |

Structural model:
Unit cell a=6.968 b=15.621 c=6.903 alpha=90.00 beta=90.00 gamma=90.00
Space group Cmce (No. 64)
Symmetry-distinct sites (fractional):
Rb 0.000 0.180 0.000 (multiplicity 8)
Hg 0.250 0.000 0.250 (multiplicity 8)
Pt 0.000 0.089 0.500 (multiplicity 8)


Record 11
The following is a simulated X-ray diffraction stick pattern of Rb3Hg9Pt2. It was derived from a cell relaxed with PBE, using Cu Kα (weighted mean of Kα1 and Kα2).
Kinematic intensities with the Lorentz-polarization factor, no thermal factor.

Peak list (10 most intense, 2θ from 10° to 90°, in order of falling intensity)
| Position (°2θ) | I_rel | index |
| --- | --- | --- |
| 34.43 | 100 | 0 2 2 |
| 29.70 | 96 | 2 0 1 |
| 49.49 | 66 | 2 2 0 |
| 17.02 | 53 | 0 1 1 |
| 58.79 | 36 | 0 4 1 |
| 38.65 | 28 | 1 2 1 |
| 82.88 | 23 | 2 4 2 |
| 61.68 | 21 | 4 0 2 |
| 52.72 | 11 | 0 3 3 |
| 80.28 | 9 | 0 2 7 |

Structural model:
Unit cell a=7.3638 b=7.3638 c=9.0317 alpha=90.00 beta=90.00 gamma=120.00
Space group P-3m1 (No. 164)
Symmetry-distinct sites (fractional):
Rb 0.0000 0.0000 0.0000 (multiplicity 1)
Rb 0.3333 0.6667 0.3320 (multiplicity 2)
Hg 0.0000 0.5000 0.0000 (multiplicity 3)
Hg 0.1499 0.2997 0.6450 (multiplicity 6)
Pt 0.3333 0.6667 0.8109 (multiplicity 2)


Record 12
The following is a simulated X-ray diffraction stick pattern of RbHg3Pt. It was derived from a cell relaxed with PBE, using Cu Kα (weighted mean of Kα1 and Kα2).
Kinematic intensities with the Lorentz-polarization factor, no thermal factor.

Peak list (10 most intense, 2θ from 10° to 90°, in order of falling intensity)
| Position (°2θ) | I_rel | index |
| --- | --- | --- |
| 32.44 | 100 | 2 0 0 |
| 16.06 | 91 | 1 1 1 |
| 31.25 | 90 | 2 2 0 |
| 38.68 | 62 | 2 -1 2 |
| 26.67 | 58 | 0 2 0 |
| 13.12 | 56 | 0 0 1 |
| 30.91 | 41 | 0 1 2 |
| 28.35 | 38 | 0 1 -2 |
| 28.84 | 37 | 2 1 2 |
| 40.67 | 35 | 2 3 2 |

Structural model:
Unit cell a=6.968 b=7.570 c=7.628 alpha=82.70 beta=62.84 gamma=62.62
Space group P1 (No. 1)
Symmetry-distinct sites (fractional):
Rb 0.000 0.000 0.000 (multiplicity 1)
Rb 0.130 0.427 0.311 (multiplicity 1)
Hg 0.015 0.933 0.518 (multiplicity 1)
Hg 0.129 0.442 0.808 (multiplicity 1)
Hg 0.460 0.913 0.167 (multiplicity 1)
Hg 0.534 0.933 0.518 (multiplicity 1)
Hg 0.544 0.519 0.391 (multiplicity 1)
Hg 0.621 0.442 0.808 (multiplicity 1)
Pt 0.522 0.132 0.824 (multiplicity 1)
Pt 0.741 0.740 0.778 (multiplicity 1)


Record 13
The following is a simulated X-ray diffraction stick pattern of Rb2Tl2Hg4Pt. It was derived from a cell relaxed with PBE, using Cu Kα (weighted mean of Kα1 and Kα2).
Kinematic intensities with the Lorentz-polarization factor, no thermal factor.

Peak list (10 most intense, 2θ from 10° to 90°, in order of falling intensity)
| Position (°2θ) | I_rel | index |
| --- | --- | --- |
| 29.78 | 100 | 2 0 2 |
| 32.41 | 83 | 2 2 0 |
| 56.19 | 34 | 4 2 2 |
| 16.04 | 31 | 1 1 0 |
| 46.49 | 31 | 4 0 0 |
| 51.14 | 29 | 2 2 4 |
| 38.68 | 25 | 2 1 3 |
| 30.84 | 22 | 1 0 3 |
| 89.73 | 17 | 6 2 4 |
| 61.86 | 16 | 4 0 4 |

Structural model:
Unit cell a=7.814 b=7.814 c=9.366 alpha=90.00 beta=90.00 gamma=90.00
Space group I4/mmm (No. 139)
Symmetry-distinct sites (fractional):
Rb 0.000 0.500 0.250 (multiplicity 4)
Tl 0.000 0.000 0.194 (multiplicity 4)
Hg 0.249 0.249 0.000 (multiplicity 8)
Pt 0.000 0.000 0.500 (multiplicity 2)


Record 14
The following is a simulated X-ray diffraction stick pattern of ReHg2Pt. It was derived from a cell relaxed with PBE, using Cu Kα (weighted mean of Kα1 and Kα2).
Kinematic intensities with the Lorentz-polarization factor, no thermal factor.

Peak list (10 most intense, 2θ from 10° to 90°, in order of falling intensity)
| Position (°2θ) | I_rel | index |
| --- | --- | --- |
| 37.41 | 100 | 1 0 4 |
| 43.08 | 61 | 0 1 8 |
| 36.06 | 27 | 0 0 12 |
| 63.47 | 23 | 1 1 0 |
| 75.22 | 20 | 1 1 12 |
| 76.05 | 13 | 0 2 4 |
| 61.64 | 13 | 1 0 16 |
| 79.80 | 10 | 2 0 8 |
| 26.85 | 8 | 0 0 9 |
| 53.79 | 7 | 1 0 13 |

Structural model:
Unit cell a=2.9315 b=2.9315 c=29.8892 alpha=90.00 beta=90.00 gamma=120.00
Space group R3m (No. 160, hexagonal axes)
Symmetry-distinct sites (fractional):
Re 0.0000 0.0000 0.0000 (multiplicity 3)
Hg 0.0000 0.0000 0.5153 (multiplicity 3)
Hg 0.0000 0.0000 0.7498 (multiplicity 3)
Pt 0.0000 0.0000 0.2649 (multiplicity 3)